Starting from DFT lattice parameters and positions (PBE), the X-ray powder pattern of AcZn2SnIr was simulated for Cu Ka.

Most intense lines, 2θ from 10° to 90°, most intense first:
2theta, d_spacing, Rel. int.
32.56, 2.750, 1000
31.77, 2.817, 514
38.92, 2.314, 314
51.08, 1.788, 279
41.63, 2.170, 260
20.79, 4.272, 255

Crystal structure
a b c (Å): 6.3963 6.3963 6.3963
angles (deg): 140.34 137.58 59.46
Fractional positions:
Ac 0.0000 0.0000 0.0000
Zn 0.6184 0.6184 0.0000
Zn 0.7372 0.2372 0.5000
Sn 0.3644 0.3644 0.0000
Ir 0.2180 0.7180 0.5000

Starting from DFT lattice parameters and positions (PBE), the X-ray powder pattern of Ac2Zn4SnIr3 was simulated for Cu Ka.

Most intense lines, 2θ from 10° to 90°, most intense first:
2theta, d_spacing, Rel. int.
33.80, 2.652, 1000
31.34, 2.854, 644
42.93, 2.107, 559
44.47, 2.037, 383
54.11, 1.695, 283
63.52, 1.465, 267

Crystal structure
a b c (Å): 4.2136 4.2136 11.6382
angles (deg): 90.00 90.00 90.00
Fractional positions:
Ac 0.0000 0.5000 0.2355
Ac 0.5000 0.0000 0.7645
Zn 0.0000 0.0000 0.0000
Zn 0.0000 0.5000 0.6449
Zn 0.5000 0.0000 0.3551
Zn 0.5000 0.5000 0.0000
Sn 0.0000 0.0000 0.5000
Ir 0.0000 0.5000 0.8660
Ir 0.5000 0.0000 0.1340
Ir 0.5000 0.5000 0.5000